Structure and theoretical X-ray powder pattern of Tb4Nd2Se9 (a DFT-relaxed cell (GGA-PBE, Alexandria); copper Kα).
Neutral-atom scattering factors, no anomalous dispersion.

Crystal structure
```
data_Tb4Nd2Se9
_cell_length_a 7.318
_cell_length_b 7.321
_cell_length_c 19.680
_cell_angle_alpha 89.99
_cell_angle_beta 89.96
_cell_angle_gamma 60.06
_space_group_name_H-M_alt 'P -1'
_space_group_IT_number 2
loop_
_space_group_symop_operation_xyz
'x,y,z'
'-x,-y,-z'
loop_
_atom_site_label
_atom_site_fract_x
_atom_site_fract_y
_atom_site_fract_z
Tb1 0.166 0.167 0.182
Tb2 0.166 0.167 0.986
Tb3 0.167 0.166 0.486
Tb4 0.168 0.166 0.683
Nd1 0.499 0.502 0.149
Nd2 0.500 0.499 0.351
Se1 0.125 0.528 0.416
Se2 0.128 0.846 0.916
Se3 0.153 0.474 0.084
Se4 0.154 0.874 0.584
Se5 0.192 0.500 0.750
Se6 0.192 0.809 0.250
Se7 0.472 0.156 0.584
Se8 0.473 0.874 0.083
Se9 0.499 0.192 0.250
```

Top 10 peaks for 2θ from 5° to 70°, by angle:
| Position (°2θ) | I/Imax | index |
| --- | --- | --- |
| 16.63 | 42 | 1 1 2 |
| 22.88 | 59 | 1 1 -4 |
| 24.31 | 40 | 2 1 0 |
| 27.91 | 62 | 2 1 3 |
| 33.63 | 40 | 0 2 -4 |
| 36.79 | 100 | 1 2 6 |
| 41.93 | 36 | 2 -1 4 |
| 42.78 | 65 | 3 3 0 |
| 48.46 | 32 | 1 0 10 |
| 57.67 | 25 | 2 4 6 |

Structure and theoretical X-ray powder pattern of LiSmZrS4 (a DFT-relaxed cell (GGA-PBE, Alexandria); copper Kα).
Neutral-atom scattering factors, no anomalous dispersion.

Crystal structure
```
data_LiSmZrS4
_cell_length_a 7.584
_cell_length_b 8.055
_cell_length_c 11.136
_cell_angle_alpha 90.00
_cell_angle_beta 90.00
_cell_angle_gamma 90.00
_space_group_name_H-M_alt 'I m m a'
_space_group_IT_number 74
_space_group_name_Hall '-I 2b 2'
loop_
_atom_site_label
_atom_site_fract_x
_atom_site_fract_y
_atom_site_fract_z
Li1 0.000 0.250 0.122
Sm1 0.000 0.000 0.500
Zr1 0.250 0.250 0.750
S1 0.000 0.027 0.751
S2 0.250 0.250 0.519
```

Top 10 peaks for 2θ from 5° to 70°, by angle:
| Position (°2θ) | I/Imax | index |
| --- | --- | --- |
| 13.57 | 67 | 0 1 1 |
| 14.13 | 100 | 1 0 1 |
| 26.30 | 52 | 1 2 1 |
| 26.74 | 26 | 1 0 3 |
| 27.20 | 18 | 2 1 1 |
| 32.15 | 44 | 0 0 4 |
| 32.43 | 88 | 2 2 0 |
| 34.94 | 23 | 1 2 3 |
| 42.05 | 18 | 0 1 5 |
| 46.31 | 63 | 2 2 4 |